No. 1
Computed X-ray diffraction stick pattern
Compound: MgFe6Sb10I6O18
Radiation: copper Kα
Structure: DFT lattice parameters and positions (PBE+U)
Neutral-atom scattering factors, no anomalous dispersion.

Structural model:
Lattice parameters (Å, degrees): 8.1496 9.5037 12.6721 85.23 86.04 74.03
Atoms (fractional coordinates):
Mg: 0.0000 0.0000 0.0000
Fe: 0.0615 0.4412 0.6731
Fe: 0.3027 0.6100 0.8048
Fe: 0.4024 0.5143 0.0866
Fe: 0.6585 0.5655 0.6173
Fe: 0.7064 0.4847 0.8648
Fe: 0.9673 0.5364 0.3972
Sb: 0.1430 0.3365 0.9632
Sb: 0.2210 0.7225 0.5180
Sb: 0.4205 0.3784 0.4752
Sb: 0.4770 0.2748 0.7358
Sb: 0.4970 0.8211 0.9656
Sb: 0.5795 0.7000 0.2514
Sb: 0.7967 0.3559 0.2317
Sb: 0.8654 0.2314 0.5142
Sb: 0.8871 0.7740 0.7436
Sb: 0.9412 0.6852 0.0077
I: 0.1741 0.2418 0.3113
I: 0.1974 0.7912 0.2023
I: 0.4177 0.8605 0.7014
I: 0.5849 0.2244 0.0238
I: 0.7929 0.8245 0.4600
I: 0.9533 0.1802 0.7737
O: 0.0602 0.7088 0.8590
O: 0.1292 0.6540 0.6598
O: 0.1830 0.5514 0.4509
O: 0.1859 0.5039 0.0321
O: 0.2360 0.3964 0.8192
O: 0.3033 0.3364 0.6199
O: 0.4621 0.5728 0.5223
O: 0.4812 0.6189 0.9440
O: 0.5339 0.4669 0.7535
O: 0.5517 0.5022 0.2098
O: 0.6264 0.2773 0.5841
O: 0.6276 0.7616 0.1012
O: 0.7303 0.3078 0.3814
O: 0.7360 0.7811 0.8974
O: 0.8295 0.5514 0.2684
O: 0.8310 0.5812 0.7286
O: 0.8873 0.4315 0.5398
O: 0.9045 0.4761 0.9559

Largest 8 diffraction maxima, by angle, 5° ≤ 2θ ≤ 70°:
9.116 Å, intensity 93
4.558 Å, intensity 69
3.455 Å, intensity 67
3.106 Å, intensity 53
3.024 Å, intensity 56
2.937 Å, intensity 77
2.678 Å, intensity 50
2.585 Å, intensity 100

No. 2
Computed X-ray diffraction stick pattern
Compound: Sr3Co2Cu2S2O5
Radiation: copper Kα
Structure: DFT lattice parameters and positions (PBE+U)
Neutral-atom scattering factors, no anomalous dispersion.

Structural model:
Lattice parameters (Å, degrees): 3.9133 3.9139 13.8644 81.99 81.97 89.93
Atoms (fractional coordinates):
Sr: 0.0000 0.0000 0.0000
Sr: 0.1383 0.1429 0.7328
Sr: 0.2800 0.2804 0.4472
Co: 0.5648 0.5660 0.8702
Co: 0.7199 0.7219 0.5875
Cu: 0.3885 0.8906 0.2228
Cu: 0.8900 0.3892 0.2227
S: 0.4403 0.4403 0.1207
S: 0.8391 0.8397 0.3237
O: 0.0553 0.5567 0.8865
O: 0.2208 0.7238 0.5578
O: 0.5575 0.0548 0.8850
O: 0.6271 0.6230 0.7201
O: 0.7238 0.2209 0.5576

Largest 8 diffraction maxima, by angle, 5° ≤ 2θ ≤ 70°:
2.767 Å, intensity 20
2.757 Å, intensity 100
2.563 Å, intensity 14
2.362 Å, intensity 34
1.957 Å, intensity 45
1.597 Å, intensity 14
1.595 Å, intensity 23
1.591 Å, intensity 14

No. 3
Computed X-ray diffraction stick pattern
Compound: LiNiP4O12
Radiation: copper Kα
Structure: DFT lattice parameters and positions (PBE+U)
Neutral-atom scattering factors, no anomalous dispersion.

Structural model:
Lattice parameters (Å, degrees): 10.2613 10.2613 5.1194 98.13 98.13 72.65
Atoms (fractional coordinates):
Li: 0.0862 0.0862 0.0735
Li: 0.9138 0.9138 0.9265
Ni: 0.0000 0.5000 0.5000
Ni: 0.5000 0.0000 0.5000
P: 0.1323 0.7107 0.3202
P: 0.1923 0.4368 0.0085
P: 0.2893 0.8677 0.6798
P: 0.4368 0.1923 0.0085
P: 0.5632 0.8077 0.9915
P: 0.7107 0.1323 0.3202
P: 0.8077 0.5632 0.9915
P: 0.8677 0.2893 0.6798
O: 0.0469 0.6650 0.4903
O: 0.0604 0.8336 0.1809
O: 0.0978 0.3952 0.1578
O: 0.1664 0.9396 0.8191
O: 0.1681 0.4269 0.7068
O: 0.2085 0.5852 0.1185
O: 0.2683 0.7317 0.5000
O: 0.3350 0.9531 0.5097
O: 0.3496 0.3496 0.0713
O: 0.3952 0.0978 0.1578
O: 0.4148 0.7915 0.8815
O: 0.4269 0.1681 0.7068
O: 0.5731 0.8319 0.2932
O: 0.5852 0.2085 0.1185
O: 0.6048 0.9022 0.8422
O: 0.6504 0.6504 0.9287
O: 0.6650 0.0469 0.4903
O: 0.7317 0.2683 0.5000
O: 0.7915 0.4148 0.8815
O: 0.8319 0.5731 0.2932
O: 0.8336 0.0604 0.1809
O: 0.9022 0.6048 0.8422
O: 0.9396 0.1664 0.8191
O: 0.9531 0.3350 0.5097

Largest 8 diffraction maxima, by angle, 5° ≤ 2θ ≤ 70°:
8.139 Å, intensity 56
6.078 Å, intensity 100
4.955 Å, intensity 30
4.671 Å, intensity 17
3.880 Å, intensity 40
3.479 Å, intensity 28
3.280 Å, intensity 14
2.604 Å, intensity 28